No. 1
The following is a computed XRD peak list of CsHgCl3. It was derived from a GGA-PBE-relaxed structure, using a wavelength of 1.5418 Å.
Neutral-atom scattering factors, no anomalous dispersion.

Structure:
abc: 13.712 13.712 9.691
angles: 90.00 90.00 120.00
Fractional positions:
Cs1 0.214 0.769 0.000
Cs2 0.228 0.110 0.315
Cs3 0.231 0.445 0.667
Cs4 0.551 0.448 0.974
Cs5 0.552 0.103 0.641
Cs6 0.555 0.786 0.333
Cs7 0.883 0.772 0.649
Cs8 0.890 0.117 0.982
Cs9 0.897 0.449 0.308
Hg1 0.219 0.440 0.146
Hg2 0.221 0.781 0.480
Hg3 0.227 0.116 0.817
Hg4 0.552 0.441 0.491
Hg5 0.559 0.111 0.158
Hg6 0.560 0.779 0.813
Hg7 0.884 0.111 0.483
Hg8 0.889 0.448 0.825
Hg9 0.889 0.773 0.150
Cl1 0.014 0.927 0.001
Cl2 0.024 0.575 0.659
Cl3 0.048 0.446 0.002
Cl4 0.056 0.772 0.311
Cl5 0.073 0.087 0.668
Cl6 0.103 0.312 0.326
Cl7 0.209 0.897 0.659
Cl8 0.228 0.284 0.978
Cl9 0.233 0.628 0.372
Cl10 0.342 0.079 0.971
Cl11 0.372 0.605 0.039
Cl12 0.395 0.767 0.706
Cl13 0.396 0.256 0.637
Cl14 0.399 0.952 0.336
Cl15 0.425 0.449 0.326
Cl16 0.551 0.976 0.993
Cl17 0.554 0.601 0.669
Cl18 0.557 0.273 0.252
Cl19 0.688 0.791 0.992
Cl20 0.716 0.443 0.585
Cl21 0.716 0.944 0.645
Cl22 0.727 0.284 0.918
Cl23 0.737 0.658 0.305
Cl24 0.744 0.140 0.304
Cl25 0.860 0.604 0.970
Cl26 0.913 0.986 0.335
Cl27 0.921 0.263 0.638

Largest 12 diffraction maxima, sorted by position, 10 to 80 degrees two-theta:
two_theta	I/Imax
15.83	14
22.47	100
31.98	41
35.88	7
39.44	47
45.86	27
51.64	24
57.00	9
62.05	27
66.87	4
71.52	13
76.05	10

No. 2
The following is a computed XRD peak list of CsHgCl3. It was derived from a GGA-PBE-relaxed structure, using a wavelength of 1.5418 Å.
Neutral-atom scattering factors, no anomalous dispersion.

Structure:
abc: 5.400 5.400 5.400
angles: 89.84 89.84 89.84
Fractional positions:
Cs1 0.000 0.000 0.000
Hg1 0.509 0.509 0.509
Cl1 0.008 0.508 0.508
Cl2 0.508 0.008 0.508
Cl3 0.508 0.508 0.008

Largest 12 diffraction maxima, sorted by position, 10 to 80 degrees two-theta:
two_theta	I/Imax
16.42	15
23.30	100
33.18	46
37.23	9
40.83	12
40.97	36
47.56	16
47.70	16
53.67	22
59.34	8
64.60	13
79.46	7